Record 1
This entry pairs a crystal structure of SrTl2F7 with its simulated powder X-ray diffraction pattern. Radiation: Cu Kα, 1.54184 Å. Structure: a cell relaxed with GGA-PBE.

Principal peaks in the range 2θ from 5° to 70°, in order of rising 2θ:
- 5.504 Å, 2θ 16.10, I = 66
- 4.268 Å, 2θ 20.81, I = 81
- 3.677 Å, 2θ 24.20, I = 100
- 3.500 Å, 2θ 25.45, I = 67
- 3.373 Å, 2θ 26.43, I = 79
- 3.283 Å, 2θ 27.16, I = 79
- 2.486 Å, 2θ 36.14, I = 72
- 2.134 Å, 2θ 42.36, I = 36
- 1.891 Å, 2θ 48.12, I = 77
- 1.839 Å, 2θ 49.57, I = 36

Structure:
Unit cell a=6.619 b=6.619 c=4.268 alpha=90.00 beta=90.00 gamma=112.50
Fractional coordinates of all 10 atoms:
Sr1 0.000 0.000 0.000
Tl1 0.301 0.699 0.500
Tl2 0.699 0.301 0.500
F1 0.057 0.309 0.500
F2 0.236 0.764 0.000
F3 0.309 0.057 0.500
F4 0.500 0.500 0.500
F5 0.691 0.943 0.500
F6 0.764 0.236 0.000
F7 0.943 0.691 0.500



Record 2
This entry pairs a crystal structure of Ac7Nd with its simulated powder X-ray diffraction pattern. Radiation: Cu Kα, 1.54184 Å. Structure: a cell relaxed with GGA-PBE.

Principal peaks in the range 2θ from 5° to 70°, in order of rising 2θ:
- 6.470 Å, 2θ 13.69, I = 1
- 5.603 Å, 2θ 15.82, I = 1
- 3.379 Å, 2θ 26.38, I = 1
- 3.235 Å, 2θ 27.57, I = 100
- 2.802 Å, 2θ 31.94, I = 52
- 1.981 Å, 2θ 45.80, I = 39
- 1.689 Å, 2θ 54.30, I = 48
- 1.618 Å, 2θ 56.93, I = 14
- 1.401 Å, 2θ 66.78, I = 6

Structure:
Unit cell a=7.924 b=7.924 c=7.924 alpha=60.00 beta=60.00 gamma=60.00
Fractional coordinates of all 8 atoms:
Ac1 0.000 0.000 0.000
Ac2 0.000 0.000 0.500
Ac3 0.000 0.500 0.000
Ac4 0.000 0.500 0.500
Ac5 0.500 0.000 0.000
Ac6 0.500 0.000 0.500
Ac7 0.500 0.500 0.000
Nd1 0.500 0.500 0.500



Record 3
This entry pairs a crystal structure of Nd4Dy10Er with its simulated powder X-ray diffraction pattern. Radiation: Cu Kα, 1.54184 Å. Structure: a cell relaxed with GGA-PBE.

Principal peaks in the range 2θ from 5° to 70°, in order of rising 2θ:
- 3.248 Å, 2θ 27.46, I = 47
- 2.916 Å, 2θ 30.66, I = 50
- 2.826 Å, 2θ 31.66, I = 100
- 2.816 Å, 2θ 31.78, I = 94
- 2.656 Å, 2θ 33.75, I = 44
- 2.576 Å, 2θ 34.83, I = 28
- 2.213 Å, 2θ 40.77, I = 61
- 1.719 Å, 2θ 53.30, I = 26
- 1.416 Å, 2θ 65.97, I = 24
- 1.390 Å, 2θ 67.36, I = 31

Structure:
Unit cell a=8.924 b=8.924 c=8.924 alpha=101.40 beta=101.40 gamma=127.20
Fractional coordinates of all 15 atoms:
Nd1 0.228 0.228 0.456
Nd2 0.228 0.772 0.000
Nd3 0.772 0.228 0.000
Nd4 0.772 0.772 0.544
Dy1 0.084 0.293 0.791
Dy2 0.250 0.750 0.500
Dy3 0.293 0.084 0.791
Dy4 0.293 0.501 0.209
Dy5 0.499 0.707 0.791
Dy6 0.501 0.293 0.209
Dy7 0.707 0.499 0.791
Dy8 0.707 0.916 0.209
Dy9 0.750 0.250 0.500
Dy10 0.916 0.707 0.209
Er1 0.000 0.000 0.000



Record 4
This entry pairs a crystal structure of PrNd7Tl2 with its simulated powder X-ray diffraction pattern. Radiation: Cu Kα, 1.54184 Å. Structure: a cell relaxed with GGA-PBE.

Principal peaks in the range 2θ from 5° to 70°, in order of rising 2θ:
- 5.510 Å, 2θ 16.09, I = 63
- 4.700 Å, 2θ 18.88, I = 33
- 4.557 Å, 2θ 19.48, I = 29
- 3.238 Å, 2θ 27.55, I = 42
- 3.047 Å, 2θ 29.31, I = 60
- 2.755 Å, 2θ 32.50, I = 59
- 2.685 Å, 2θ 33.37, I = 69
- 2.655 Å, 2θ 33.76, I = 100
- 2.043 Å, 2θ 44.33, I = 39
- 1.555 Å, 2θ 59.43, I = 28

Structure:
Unit cell a=9.280 b=9.280 c=5.510 alpha=90.00 beta=90.00 gamma=119.14
Fractional coordinates of all 10 atoms:
Pr1 0.000 0.000 0.000
Nd1 0.061 0.302 0.500
Nd2 0.226 0.774 0.000
Nd3 0.302 0.061 0.500
Nd4 0.500 0.500 0.500
Nd5 0.698 0.939 0.500
Nd6 0.774 0.226 0.000
Nd7 0.939 0.698 0.500
Tl1 0.306 0.694 0.500
Tl2 0.694 0.306 0.500